LuTa3O9: theoretical XRD peak list (CuKα), based on DFT lattice parameters and positions (GGA-PBE).
Lines closer than 0.1° are merged.

Structure:
```
data_LuTa3O9
_space_group_name_H-M_alt 'P n m a'
_space_group_IT_number 62
_space_group_name_Hall '-P 2ac 2n'
_cell_length_a 6.436
_cell_length_b 7.621
_cell_length_c 12.611
_cell_angle_alpha 90.00
_cell_angle_beta 90.00
_cell_angle_gamma 90.00
loop_
_atom_site_label
_atom_site_fract_x
_atom_site_fract_y
_atom_site_fract_z
Lu1 0.055 0.250 0.041
Ta1 0.000 0.000 0.500
Ta2 0.205 0.003 0.787
O1 0.016 0.042 0.657
O2 0.088 0.750 0.525
O3 0.102 0.039 0.167
O4 0.165 0.250 0.830
O5 0.205 0.541 0.964
O6 0.206 0.750 0.803
```

The 10 most intense peaks (10° ≤ 2θ ≤ 80°), in order of rising 2θ:
2θ 23.35, 3.810 Å, rel. 569, hkl 0 2 0
2θ 27.35, 3.261 Å, rel. 382, hkl 0 2 2
2θ 28.12, 3.173 Å, rel. 797, hkl 1 2 1
2θ 28.31, 3.153 Å, rel. 477, hkl 0 0 4
2θ 31.21, 2.866 Å, rel. 1000, hkl 2 0 2
2θ 31.60, 2.831 Å, rel. 328, hkl 1 0 4
2θ 34.70, 2.585 Å, rel. 534, hkl 1 2 3
2θ 47.74, 1.905 Å, rel. 337, hkl 0 4 0
2θ 58.14, 1.587 Å, rel. 377, hkl 2 4 2
2θ 61.78, 1.502 Å, rel. 310, hkl 3 2 5